Diffraction record for Ba2CoCu2S2O2. The powder diffraction line list is computed, not measured: it uses a PBE+U-relaxed structure and Cu Kα (weighted mean of Kα1 and Kα2).

Main lines, by angle (2θ from 10° to 80°):
2θ = 22.71°, d = 3.915 Å, intensity 21; 2θ = 26.94°, d = 3.310 Å, intensity 10; 2θ = 31.76°, d = 2.817 Å, intensity 100; 2θ = 32.98°, d = 2.716 Å, intensity 25; 2θ = 36.61°, d = 2.454 Å, intensity 41; 2θ = 38.94°, d = 2.313 Å, intensity 9; 2θ = 45.43°, d = 1.997 Å, intensity 33; 2θ = 56.50°, d = 1.629 Å, intensity 31; 2θ = 56.67°, d = 1.624 Å, intensity 23; 2θ = 66.20°, d = 1.412 Å, intensity 10

Atomic structure:
abc: 3.993 3.993 19.859
angles: 90.00 90.00 90.00
Space group I4/mmm (No. 139)
One atom of each set of equivalent atoms:
Ba: 0.000 0.000 0.097 [4 per cell]
Co: 0.000 0.000 0.500 [2 per cell]
Cu: 0.000 0.500 0.250 [4 per cell]
S: 0.000 0.000 0.318 [4 per cell]
O: 0.000 0.500 0.000 [4 per cell]